The following is a computed powder diffractogram of Pr3Th2Te8. It was derived from a cell relaxed with GGA-PBE, using Cu Kα X-rays.
No peak broadening, texture or thermal motion is included.

Cell lengths 10.8155, 15.3649, 5.4429 Å; angles 90.00, 90.00, 90.00 degrees
Space group Cmmm (No. 65)
Symmetry-distinct sites (fractional):
1 Pr 0.0000 0.0000 0.0000 [2 per cell]
2 Pr 0.2253 0.5000 0.5000 [4 per cell]
3 Th 0.0000 0.2535 0.0000 [4 per cell]
4 Te 0.0000 0.1208 0.5000 [4 per cell]
5 Te 0.0000 0.3650 0.5000 [4 per cell]
6 Te 0.2460 0.1259 0.0000 [8 per cell]

Principal peaks in the range 10° ≤ 2θ ≤ 90°, by angle:
2theta, intensity, hkl
20.04, 27, 2 2 0
32.98, 100, 0 0 2
33.13, 19, 4 0 0
38.87, 10, 0 6 1
39.00, 4, 4 2 1
47.37, 21, 0 8 0
58.83, 23, 2 4 3
58.99, 7, 4 8 0
59.10, 13, 6 4 1
69.23, 9, 4 8 2
78.78, 9, 4 0 4
78.90, 6, 6 4 3